1.
This entry pairs a crystal structure of AcPm2Y4 with its theoretical XRD peak list. Radiation: a wavelength of 1.5418 Å. Structure: a GGA-PBE-relaxed structure.
Kinematic intensities with the Lorentz-polarization factor, no thermal factor.

Crystal structure
Unit cell a=6.9047 b=8.7077 c=9.4648 alpha=65.50 beta=71.55 gamma=77.00
Space group P1 (No. 1)
Asymmetric unit:
1 Ac 0.0000 0.0000 0.0000 (multiplicity 1)
2 Ac 0.2489 0.9486 0.3161 (multiplicity 1)
3 Pm 0.1020 0.3855 0.0237 (multiplicity 1)
4 Pm 0.1454 0.5658 0.2870 (multiplicity 1)
5 Pm 0.2924 0.1460 0.5740 (multiplicity 1)
6 Pm 0.3891 0.5195 0.5976 (multiplicity 1)
7 Y 0.4393 0.7121 0.8576 (multiplicity 1)
8 Y 0.5313 0.0979 0.8746 (multiplicity 1)
9 Y 0.5779 0.2905 0.1431 (multiplicity 1)
10 Y 0.6710 0.6608 0.1676 (multiplicity 1)
11 Y 0.7183 0.8529 0.4399 (multiplicity 1)
12 Y 0.8106 0.2378 0.4561 (multiplicity 1)
13 Y 0.8600 0.4328 0.7155 (multiplicity 1)
14 Y 0.9537 0.8048 0.7416 (multiplicity 1)

Largest 10 diffraction maxima, most intense first, 2θ from 10° to 90°:
two_theta  Rel. int.  index
31.71  1000  0 3 1
31.77  668  2 -1 1
30.59  488  2 2 2
31.93  331  2 0 -1
27.70  310  0 1 -2
49.17  259  1 0 -4
58.81  224  1 5 0
55.02  205  2 5 3
27.85  169  -1 1 2
41.77  151  1 3 4

=====

2.
This entry pairs a crystal structure of ZnPH with its theoretical XRD peak list. Radiation: a wavelength of 1.5418 Å. Structure: a GGA-PBE-relaxed structure.
Kinematic intensities with the Lorentz-polarization factor, no thermal factor.

Crystal structure
Unit cell a=6.7813 b=3.9247 c=7.1830 alpha=90.00 beta=109.66 gamma=90.00
Space group C2 (No. 5)
Asymmetric unit:
1 Zn 0.1130 0.0000 0.3448 (multiplicity 4)
2 P 0.0000 0.4747 0.5000 (multiplicity 2)
3 P 0.0000 0.8517 0.0000 (multiplicity 2)
4 H 0.1564 0.6046 0.0091 (multiplicity 4)

Largest 10 diffraction maxima, most intense first, 2θ from 10° to 90°:
two_theta  Rel. int.  index
13.09  1000  0 0 1
26.62  981  2 0 -1
46.34  737  3 1 -1
34.23  690  1 1 -2
44.32  499  1 1 -3
31.88  378  1 1 1
27.60  316  1 1 -1
34.88  277  2 0 1
45.14  257  2 0 2
39.99  224  0 0 3

=====

3.
This entry pairs a crystal structure of AlGa2Re2 with its theoretical XRD peak list. Radiation: a wavelength of 1.5418 Å. Structure: a GGA-PBE-relaxed structure.
Kinematic intensities with the Lorentz-polarization factor, no thermal factor.

Crystal structure
Unit cell a=6.7342 b=6.7342 c=3.2983 alpha=90.00 beta=90.00 gamma=90.00
Space group P4/mbm (No. 127)
Asymmetric unit:
1 Al 0.0000 0.0000 0.0000 (multiplicity 2)
2 Ga 0.1342 0.3658 0.0000 (multiplicity 4)
3 Re 0.1643 0.6643 0.5000 (multiplicity 4)

Largest 10 diffraction maxima, most intense first, 2θ from 10° to 90°:
two_theta  Rel. int.  index
40.56  1000  2 1 1
42.45  256  3 1 0
29.66  217  2 1 0
18.63  212  1 1 0
82.49  151  5 2 1
63.57  149  4 1 1
26.47  137  2 0 0
38.20  134  2 0 1
58.12  112  3 3 0
72.49  104  3 1 2